For Pm4PaCo5, a cell relaxed with PBE gives the theoretical PXRD pattern in this record (Cu Ka).

Crystal structure
```
Pm4PaCo5
1.0
-4.6224 4.6224 2.4540
4.6224 -4.6224 2.4540
4.6224 4.6224 -2.4540
Pm Pa Co
4 1 5
direct
0.0000 0.2873 0.2873 Pm
0.0000 0.7127 0.7127 Pm
0.2873 0.0000 0.2873 Pm
0.7127 0.0000 0.7127 Pm
0.5946 0.5946 0.0000 Pa
0.1154 0.1154 0.0000 Co
0.3003 0.3003 0.6398 Co
0.3003 0.6605 0.0000 Co
0.6605 0.3003 0.0000 Co
0.6605 0.6605 0.3602 Co
```

Main lines, sorted by position (10° ≤ 2θ ≤ 90°):
2θ 13.5, 6.537 Å, intensity 31
2θ 28.2, 3.162 Å, intensity 100
2θ 30.6, 2.923 Å, intensity 22
2θ 34.4, 2.610 Å, intensity 62
2θ 36.6, 2.454 Å, intensity 33
2θ 39.0, 2.311 Å, intensity 31
2θ 39.7, 2.273 Å, intensity 33
2θ 41.4, 2.179 Å, intensity 43
2θ 56.5, 1.629 Å, intensity 22
2θ 56.8, 1.620 Å, intensity 27